This entry pairs a crystal structure of Na2CrReN4 with its theoretical XRD peak list. Radiation: copper Kα. Structure: a cell relaxed with PBE.
Neutral-atom scattering factors, no anomalous dispersion.

Structural model:
Cell lengths 5.819, 6.435, 6.046 Å; angles 90.00, 90.00, 90.00 degrees
Space group Pmmn (No. 59, origin choice 2)
Unique sites:
Na: 0.250 0.000 0.228 [4 per cell]
Cr: 0.250 0.250 0.681 [2 per cell]
Re: 0.250 0.750 0.678 [2 per cell]
N: 0.005 0.250 0.505 [4 per cell]
N: 0.250 0.004 0.835 [4 per cell]

Largest 10 diffraction maxima, in order of rising 2θ, 10 to 90 degrees two-theta:
- hkl 0 0 1, 14.65°, I = 40
- hkl 0 1 1, 20.15°, I = 38
- hkl 1 1 0, 20.58°, I = 45
- hkl 1 0 1, 21.19°, I = 100
- hkl 0 2 0, 27.73°, I = 25
- hkl 2 0 0, 30.73°, I = 45
- hkl 1 0 2, 33.40°, I = 27
- hkl 1 2 1, 35.16°, I = 86
- hkl 1 2 2, 43.94°, I = 30
- hkl 2 2 3, 63.13°, I = 25